No. 1
Starting from DFT lattice parameters and positions (PBE), the powder X-ray diffraction pattern of Li2Bi2PbO6 was simulated for Cu Kα X-rays.

Unit cell a=5.520 b=5.520 c=7.068 alpha=90.00 beta=90.00 gamma=120.00
Sites, in units of the cell vectors:
Li (0.333, 0.667, 0.386)
Li (0.667, 0.333, 0.614)
Bi (0.333, 0.667, 0.827)
Bi (0.667, 0.333, 0.173)
Pb (0.000, 0.000, 0.500)
O (0.008, 0.334, 0.677)
O (0.326, 0.992, 0.677)
O (0.334, 0.326, 0.323)
O (0.666, 0.674, 0.677)
O (0.674, 0.008, 0.323)
O (0.992, 0.666, 0.323)

Peak list (8 most intense, 10° ≤ 2θ ≤ 90°, in order of rising 2θ)
Position (°2θ), I_rel
22.5, 100.0
31.5, 45.5
32.4, 36.2
39.8, 23.0
45.8, 17.0
51.0, 26.7
52.3, 21.6
57.3, 17.5

No. 2
Starting from DFT lattice parameters and positions (PBE), the powder X-ray diffraction pattern of LiBiPb2O4 was simulated for Cu Kα X-rays.

Unit cell a=4.387 b=7.424 c=10.129 alpha=90.00 beta=90.00 gamma=90.00
Sites, in units of the cell vectors:
Li (0.250, 0.250, 0.190)
Li (0.750, 0.750, 0.810)
Bi (0.250, 0.750, 0.093)
Bi (0.750, 0.250, 0.907)
Pb (0.250, 0.008, 0.679)
Pb (0.250, 0.492, 0.679)
Pb (0.750, 0.508, 0.321)
Pb (0.750, 0.992, 0.321)
O (0.250, 0.250, 0.838)
O (0.250, 0.520, 0.223)
O (0.250, 0.750, 0.789)
O (0.250, 0.980, 0.223)
O (0.750, 0.020, 0.777)
O (0.750, 0.250, 0.211)
O (0.750, 0.480, 0.777)
O (0.750, 0.750, 0.162)

Peak list (8 most intense, 10° ≤ 2θ ≤ 90°, in order of rising 2θ)
Position (°2θ), I_rel
22.1, 38.7
25.6, 57.9
26.9, 100.0
32.8, 86.2
36.0, 38.9
41.2, 39.1
48.2, 60.4
49.1, 38.4

No. 3
Starting from DFT lattice parameters and positions (PBE), the powder X-ray diffraction pattern of Li2BiPb2O6 was simulated for Cu Kα X-rays.

Unit cell a=5.635 b=5.635 c=5.486 alpha=90.00 beta=90.00 gamma=120.00
Sites, in units of the cell vectors:
Li (0.333, 0.667, 0.000)
Li (0.667, 0.333, 0.000)
Bi (0.000, 0.000, 0.000)
Pb (0.333, 0.667, 0.500)
Pb (0.667, 0.333, 0.500)
O (0.000, 0.358, 0.238)
O (0.000, 0.642, 0.762)
O (0.358, 0.000, 0.238)
O (0.358, 0.358, 0.762)
O (0.642, 0.000, 0.762)
O (0.642, 0.642, 0.238)

Peak list (8 most intense, 10° ≤ 2θ ≤ 90°, in order of rising 2θ)
Position (°2θ), I_rel
24.4, 100.0
31.8, 52.7
32.6, 13.6
40.5, 27.9
46.2, 51.9
52.3, 26.7
53.5, 12.6
56.6, 15.8

No. 4
Starting from DFT lattice parameters and positions (PBE), the powder X-ray diffraction pattern of Li2PrBiO was simulated for Cu Kα X-rays.

Unit cell a=6.614 b=6.614 c=6.614 alpha=121.64 beta=121.64 gamma=87.18
Sites, in units of the cell vectors:
Li (0.249, 0.749, 0.998)
Li (0.251, 0.249, 0.500)
Li (0.749, 0.751, 0.500)
Li (0.751, 0.251, 0.002)
Pr (0.250, 0.250, 0.000)
Pr (0.750, 0.750, 0.000)
Bi (0.250, 0.750, 0.500)
Bi (0.750, 0.250, 0.500)
O (0.000, 0.000, 0.000)
O (0.500, 0.500, 0.000)

Peak list (8 most intense, 10° ≤ 2θ ≤ 90°, in order of rising 2θ)
Position (°2θ), I_rel
18.5, 92.3
27.7, 88.5
33.5, 100.0
39.5, 38.5
44.0, 42.5
47.3, 41.3
55.7, 28.5
67.9, 27.4

- Which formula does entry 2 have?
  LiBiPb2O4

Repeat the second record exactly.
Starting from DFT lattice parameters and positions (PBE), the powder X-ray diffraction pattern of LiBiPb2O4 was simulated for Cu Kα X-rays.

Unit cell a=4.387 b=7.424 c=10.129 alpha=90.00 beta=90.00 gamma=90.00
Sites, in units of the cell vectors:
Li (0.250, 0.250, 0.190)
Li (0.750, 0.750, 0.810)
Bi (0.250, 0.750, 0.093)
Bi (0.750, 0.250, 0.907)
Pb (0.250, 0.008, 0.679)
Pb (0.250, 0.492, 0.679)
Pb (0.750, 0.508, 0.321)
Pb (0.750, 0.992, 0.321)
O (0.250, 0.250, 0.838)
O (0.250, 0.520, 0.223)
O (0.250, 0.750, 0.789)
O (0.250, 0.980, 0.223)
O (0.750, 0.020, 0.777)
O (0.750, 0.250, 0.211)
O (0.750, 0.480, 0.777)
O (0.750, 0.750, 0.162)

Peak list (8 most intense, 10° ≤ 2θ ≤ 90°, in order of rising 2θ)
Position (°2θ), I_rel
22.1, 38.7
25.6, 57.9
26.9, 100.0
32.8, 86.2
36.0, 38.9
41.2, 39.1
48.2, 60.4
49.1, 38.4